No. 1
Computed powder XRD pattern of Li2CaMg10 for Cu Kα (λ = 1.5418 Å), from a GGA-PBE-relaxed structure.
Peak positions follow from Bragg's law for the DFT cell and can differ from measured ones.

```
13
Lattice="0.0000 7.3169 7.3650 2.8612 0.0000 7.3650 2.8612 7.3169 0.0000" Properties=species:S:1:pos:R:3 pbc="T T T"
Li 1.4306 0.0000 3.6825
Li 1.4306 7.3169 3.6825
Ca 0.0000 0.0000 0.0000
Mg 1.4306 3.6585 0.0000
Mg 2.8612 4.7776 2.6368
Mg 2.8612 5.7802 5.7324
Mg 2.8612 9.8562 2.6368
Mg 2.8612 8.8536 5.7324
Mg 1.4306 3.6585 7.3650
Mg 2.8612 5.7802 8.9975
Mg 2.8612 4.7776 12.0931
Mg 2.8612 8.8536 8.9975
Mg 2.8612 9.8562 12.0931
```

Top 8 peaks for 2θ = 5–70°, sorted by position:
- 12.0°, I 33.2
- 30.2°, I 89.3
- 31.3°, I 47.8
- 34.6°, I 79.9
- 34.8°, I 100.0
- 35.0°, I 90.7
- 35.8°, I 79.4
- 62.8°, I 35.2

No. 2
Computed powder XRD pattern of Sm6Hg3Ru for Cu Kα (λ = 1.5418 Å), from a GGA-PBE-relaxed structure.
Peak positions follow from Bragg's law for the DFT cell and can differ from measured ones.

```
20
Lattice="6.1598 3.5564 4.6072 -6.1598 3.5564 4.6072 0.0000 -7.1127 4.6072" Properties=species:S:1:pos:R:3 pbc="T T T"
Sm -5.4454 -1.4797 7.5949
Sm -1.4413 -5.4557 6.2267
Sm -1.4413 -1.6570 5.2913
Sm -4.0042 3.9760 6.2267
Sm -0.7144 2.0767 5.2913
Sm -2.1556 0.4197 8.5303
Sm 2.1556 -0.4197 5.2913
Sm 0.7144 -2.0767 8.5303
Sm 4.0042 -3.9760 7.5949
Sm 1.4413 1.6570 8.5303
Sm 1.4413 5.4557 7.5949
Sm 5.4454 1.4797 6.2267
Hg -3.7034 0.6982 5.7590
Hg -2.4564 -2.8582 8.0626
Hg 1.2471 -3.5564 5.7590
Hg -1.2471 3.5564 8.0626
Hg 2.4564 2.8582 5.7590
Hg 3.7034 -0.6982 8.0626
Ru 0.0000 0.0000 0.0000
Ru 0.0000 0.0000 6.9108
```

Top 8 peaks for 2θ = 5–70°, sorted by position:
- 15.3°, I 20.4
- 27.1°, I 28.4
- 30.9°, I 100.0
- 32.9°, I 44.7
- 34.2°, I 19.1
- 35.0°, I 57.7
- 39.5°, I 19.3
- 56.0°, I 13.8

No. 3
Computed powder XRD pattern of SrCd2Sn for Cu Kα (λ = 1.5418 Å), from a GGA-PBE-relaxed structure.
Peak positions follow from Bragg's law for the DFT cell and can differ from measured ones.

```
8
Lattice="4.6464 0.0000 0.0000 0.0000 4.6464 0.0000 0.0000 0.0000 11.0176" Properties=species:S:1:pos:R:3 pbc="T T T"
Sr 1.1616 1.1616 2.7255
Sr 3.4848 3.4848 8.2921
Cd 1.1616 1.1616 10.4371
Cd 1.1616 3.4848 5.5088
Cd 3.4848 1.1616 5.5088
Cd 3.4848 3.4848 0.5805
Sn 1.1616 1.1616 7.3883
Sn 3.4848 3.4848 3.6293
```

Top 8 peaks for 2θ = 5–70°, sorted by position:
- 8.0°, I 38.2
- 27.1°, I 55.9
- 28.3°, I 64.4
- 31.0°, I 55.9
- 31.7°, I 54.4
- 36.7°, I 100.0
- 38.0°, I 54.6
- 38.8°, I 95.6

No. 4
Computed powder XRD pattern of ScCu2Au for Cu Kα (λ = 1.5418 Å), from a GGA-PBE-relaxed structure.
Peak positions follow from Bragg's law for the DFT cell and can differ from measured ones.

```
4
Lattice="3.8673 0.0000 0.0000 0.0000 4.0719 0.0000 0.0000 0.0000 4.0947" Properties=species:S:1:pos:R:3 pbc="T T T"
Sc 0.0000 0.0000 0.0000
Cu 0.0000 2.0360 2.0473
Cu 1.9336 0.0000 2.0473
Au 1.9336 2.0360 0.0000
```

Top 8 peaks for 2θ = 5–70°, sorted by position:
- 21.8°, I 16.8
- 23.0°, I 15.0
- 31.0°, I 14.8
- 31.9°, I 20.1
- 38.9°, I 100.0
- 44.2°, I 17.3
- 44.5°, I 17.0
- 47.0°, I 14.4